This entry pairs a crystal structure of CrGaFeSe4 with its simulated XRD peak list. Radiation: copper Kα. Structure: a PBE-relaxed structure.
Intensities are scaled so that the largest is 100.

Cell: 12.9589 12.9589 12.9589 Å, 17.05 17.05 17.05°
Fractional positions:
Cr 0.0000 0.0000 0.0000
Ga 0.5694 0.5694 0.5694
Fe 0.4316 0.4316 0.4316
Se 0.2075 0.2075 0.2075
Se 0.3675 0.3675 0.3675
Se 0.6325 0.6325 0.6325
Se 0.7894 0.7894 0.7894

Most intense lines, 2θ from 10° to 90°, by angle:
2θ (°)  Rel. int.
20.9  26
26.9  16
29.3  100
37.4  9
42.8  46
47.3  49
52.2  12
53.1  23
56.6  15
65.7  12
76.8  12
84.8  12

=====

This entry pairs a crystal structure of Eu2SO2 with its simulated XRD peak list. Radiation: copper Kα. Structure: a PBE-relaxed structure.
Intensities are scaled so that the largest is 100.

Cell: 3.9246 3.9246 6.8014 Å, 90.00 90.00 120.00°
Fractional positions:
Eu 0.3333 0.6667 0.2812
Eu 0.6667 0.3333 0.7188
S 0.0000 0.0000 0.0000
O 0.3333 0.6667 0.6331
O 0.6667 0.3333 0.3669

Most intense lines, 2θ from 10° to 90°, by angle:
2θ (°)  Rel. int.
26.2  42
29.4  100
37.4  31
46.3  31
48.3  25
53.9  24
55.8  17
60.9  15
69.1  9
75.3  20
79.8  11
87.2  13

=====

This entry pairs a crystal structure of La2Ti3Bi2O12 with its simulated XRD peak list. Radiation: copper Kα. Structure: a PBE-relaxed structure.
Intensities are scaled so that the largest is 100.

Cell: 16.9005 16.9005 16.9005 Å, 166.92 166.92 18.54°
Fractional positions:
La 0.0651 0.0651 0.0000
La 0.9349 0.9349 0.0000
Ti 0.3729 0.3729 0.0000
Ti 0.5000 0.5000 0.0000
Ti 0.6271 0.6271 0.0000
Bi 0.2115 0.2115 0.0000
Bi 0.7885 0.7885 0.0000
O 0.0000 0.5000 0.5000
O 0.1144 0.6144 0.5000
O 0.2500 0.7500 0.5000
O 0.3191 0.3191 0.0000
O 0.3856 0.8856 0.5000
O 0.4418 0.4418 0.0000
O 0.5000 0.0000 0.5000
O 0.5582 0.5582 0.0000
O 0.6144 0.1144 0.5000
O 0.6809 0.6809 0.0000
O 0.7500 0.2500 0.5000
O 0.8856 0.3856 0.5000

Most intense lines, 2θ from 10° to 90°, by angle:
2θ (°)  Rel. int.
10.6  12
23.3  11
26.7  17
29.8  100
32.9  39
37.8  14
39.5  17
47.2  30
50.9  21
56.9  33
62.0  11
69.0  11

=====

This entry pairs a crystal structure of U3Zn with its simulated XRD peak list. Radiation: copper Kα. Structure: a PBE-relaxed structure.
Intensities are scaled so that the largest is 100.

Cell: 5.1635 5.1635 5.1635 Å, 130.19 130.19 73.10°
Fractional positions:
U 0.0000 0.0000 0.0000
U 0.2500 0.7500 0.5000
U 0.7500 0.2500 0.5000
Zn 0.5000 0.5000 0.0000

Most intense lines, 2θ from 10° to 90°, by angle:
2θ (°)  Rel. int.
21.4  4
23.1  13
29.0  4
36.4  100
41.5  35
43.6  15
48.1  4
60.2  12
61.8  22
72.4  29
75.4  14
77.2  12